Starting from a structure optimized by DFT (GGA-PBE), the powder X-ray diffraction pattern of V5Re2 was calculated for a wavelength of 1.5418 Å.
Kinematic intensities with the Lorentz-polarization factor, no thermal factor.

Atomic structure:
```
data_V5Re2
_chemical_formula_sum 'V10 Re4'
_cell_length_a 2.6443
_cell_length_b 9.0810
_cell_length_c 9.0279
_cell_angle_alpha 90.00
_cell_angle_beta 104.99
_cell_angle_gamma 90.00
_symmetry_space_group_name_H-M 'P 1 21/c 1'
_symmetry_Int_Tables_number 14
loop_
_symmetry_equiv_pos_as_xyz
'x,y,z'
'-x,-y,-z'
'-x,y+1/2,-z+1/2'
'x,-y+1/2,z+1/2'
loop_
_atom_site_label
_atom_site_fract_x
_atom_site_fract_y
_atom_site_fract_z
V1 0.0000 0.0000 0.0000
V2 0.0353 0.1496 0.4579
V3 0.0469 0.5711 0.7685
Re1 0.4783 0.6856 0.3185
```

Main lines, low angle first (15° ≤ 2θ ≤ 90°):
4.360 Å, 20.37°, I = 50, (0 0 2)
4.027 Å, 22.07°, I = 74, (0 2 1)
3.931 Å, 22.62°, I = 100, (0 1 2)
2.414 Å, 37.24°, I = 65, (1 1 -2)
2.226 Å, 40.52°, I = 52, (1 2 0)
2.197 Å, 41.09°, I = 97, (0 4 1)
2.120 Å, 42.65°, I = 69, (0 1 4)
2.097 Å, 43.15°, I = 76, (0 3 3)

Starting from a structure optimized by DFT (GGA-PBE), the powder X-ray diffraction pattern of V3Re4 was calculated for a wavelength of 1.5418 Å.
Kinematic intensities with the Lorentz-polarization factor, no thermal factor.

Atomic structure:
```
data_V3Re4
_chemical_formula_sum 'V6 Re8'
_cell_length_a 13.0407
_cell_length_b 2.6984
_cell_length_c 6.6377
_cell_angle_alpha 90.00
_cell_angle_beta 118.58
_cell_angle_gamma 90.00
_symmetry_space_group_name_H-M 'C 1 2/m 1'
_symmetry_Int_Tables_number 12
loop_
_symmetry_equiv_pos_as_xyz
'x,y,z'
'-x,-y,-z'
'-x,y,-z'
'x,-y,z'
'x+1/2,y+1/2,z'
'-x+1/2,-y+1/2,-z'
'-x+1/2,y+1/2,-z'
'x+1/2,-y+1/2,z'
loop_
_atom_site_label
_atom_site_fract_x
_atom_site_fract_y
_atom_site_fract_z
V1 0.0000 0.0000 0.0000
V2 0.2143 0.0000 0.1459
Re1 0.0767 0.0000 0.7121
Re2 0.1391 0.5000 0.4171
```

Main lines, low angle first (15° ≤ 2θ ≤ 90°):
5.829 Å, 15.20°, I = 63, (0 0 1)
2.302 Å, 39.13°, I = 27, (1 1 1)
2.280 Å, 39.53°, I = 90, (3 1 -1)
2.187 Å, 41.28°, I = 100, (4 0 1)
2.131 Å, 42.42°, I = 46, (6 0 -2)
1.853 Å, 49.18°, I = 48, (1 1 2)
1.398 Å, 66.93°, I = 37, (7 1 0)
1.148 Å, 84.34°, I = 25, (4 2 1)

Starting from a structure optimized by DFT (GGA-PBE), the powder X-ray diffraction pattern of V3Re5 was calculated for a wavelength of 1.5418 Å.
Kinematic intensities with the Lorentz-polarization factor, no thermal factor.

Atomic structure:
```
data_V3Re5
_chemical_formula_sum 'V6 Re10'
_cell_length_a 6.1273
_cell_length_b 6.1273
_cell_length_c 6.1273
_cell_angle_alpha 90.00
_cell_angle_beta 90.00
_cell_angle_gamma 90.00
_symmetry_space_group_name_H-M 'I m -3 m'
_symmetry_Int_Tables_number 229
_symmetry_space_group_name_Hall '-I 4 2 3'
loop_
_atom_site_label
_atom_site_fract_x
_atom_site_fract_y
_atom_site_fract_z
V1 0.0000 0.0000 0.5000
Re1 0.0000 0.0000 0.0000
Re2 0.2500 0.2500 0.2500
```

Main lines, low angle first (15° ≤ 2θ ≤ 90°):
4.333 Å, 20.50°, I = 9, (1 1 0)
3.064 Å, 29.15°, I = 18, (2 0 0)
2.501 Å, 35.90°, I = 5, (2 1 1)
2.166 Å, 41.69°, I = 100, (2 2 0)
1.769 Å, 51.68°, I = 5, (2 2 2)
1.532 Å, 60.43°, I = 17, (4 0 0)
1.370 Å, 68.48°, I = 7, (4 2 0)
1.251 Å, 76.10°, I = 34, (4 2 2)

Starting from a structure optimized by DFT (GGA-PBE), the powder X-ray diffraction pattern of V7Re3 was calculated for a wavelength of 1.5418 Å.
Kinematic intensities with the Lorentz-polarization factor, no thermal factor.

Atomic structure:
```
data_V7Re3
_chemical_formula_sum 'V14 Re6'
_cell_length_a 8.2425
_cell_length_b 8.2425
_cell_length_c 5.0597
_cell_angle_alpha 90.00
_cell_angle_beta 90.00
_cell_angle_gamma 120.00
_symmetry_space_group_name_H-M 'P 63/m m c'
_symmetry_Int_Tables_number 194
_symmetry_space_group_name_Hall '-P 6c 2c'
loop_
_atom_site_label
_atom_site_fract_x
_atom_site_fract_y
_atom_site_fract_z
V1 0.0000 0.5000 0.0000
V2 0.1256 0.2511 0.2500
V3 0.3333 0.6667 0.2500
Re1 0.2178 0.4356 0.7500
```

Main lines, low angle first (15° ≤ 2θ ≤ 90°):
4.128 Å, 21.53°, I = 78, (1 0 1)
2.917 Å, 30.65°, I = 32, (2 0 1)
2.530 Å, 35.48°, I = 27, (0 0 2)
2.380 Å, 37.80°, I = 43, (3 0 0)
2.153 Å, 41.96°, I = 100, (3 0 1)
2.063 Å, 43.88°, I = 58, (2 0 2)
1.845 Å, 49.40°, I = 44, (2 1 2)
1.207 Å, 79.37°, I = 24, (3 3 2)

Starting from a structure optimized by DFT (GGA-PBE), the powder X-ray diffraction pattern of V4Re3 was calculated for a wavelength of 1.5418 Å.
Kinematic intensities with the Lorentz-polarization factor, no thermal factor.

Atomic structure:
```
data_V4Re3
_chemical_formula_sum 'V12 Re9'
_cell_length_a 4.3010
_cell_length_b 4.3010
_cell_length_c 18.3813
_cell_angle_alpha 90.00
_cell_angle_beta 90.00
_cell_angle_gamma 120.00
_symmetry_space_group_name_H-M 'R 3 m'
_symmetry_Int_Tables_number 160
_symmetry_space_group_name_Hall 'R 3 -2"'
loop_
_atom_site_label
_atom_site_fract_x
_atom_site_fract_y
_atom_site_fract_z
V1 0.0000 0.0000 0.0000
V2 0.0000 0.0000 0.1417
V3 0.0000 0.0000 0.2872
V4 0.0000 0.0000 0.7138
Re1 0.0000 0.0000 0.4272
Re2 0.0000 0.0000 0.5735
Re3 0.0000 0.0000 0.8578
```

Main lines, low angle first (15° ≤ 2θ ≤ 90°):
3.651 Å, 24.38°, I = 13, (1 0 1)
3.452 Å, 25.81°, I = 11, (0 1 2)
2.894 Å, 30.90°, I = 9, (1 0 4)
2.617 Å, 34.27°, I = 6, (0 1 5)
2.148 Å, 42.06°, I = 100, (1 1 0)
1.519 Å, 60.99°, I = 16, (0 2 7)
1.241 Å, 76.81°, I = 25, (3 0 0)
1.238 Å, 77.01°, I = 8, (0 1 14)

Starting from a structure optimized by DFT (GGA-PBE), the powder X-ray diffraction pattern of VRe5 was calculated for a wavelength of 1.5418 Å.
Kinematic intensities with the Lorentz-polarization factor, no thermal factor.

Atomic structure:
```
data_VRe5
_chemical_formula_sum 'V2 Re10'
_cell_length_a 4.3862
_cell_length_b 13.3941
_cell_length_c 3.0133
_cell_angle_alpha 90.00
_cell_angle_beta 90.00
_cell_angle_gamma 90.00
_symmetry_space_group_name_H-M 'C m m m'
_symmetry_Int_Tables_number 65
_symmetry_space_group_name_Hall '-C 2 2'
loop_
_atom_site_label
_atom_site_fract_x
_atom_site_fract_y
_atom_site_fract_z
V1 0.0000 0.0000 0.0000
Re1 0.0000 0.1515 0.5000
Re2 0.0000 0.3228 0.0000
Re3 0.0000 0.5000 0.5000
```

Main lines, low angle first (15° ≤ 2θ ≤ 90°):
2.286 Å, 39.41°, I = 10, (1 5 0)
2.232 Å, 40.41°, I = 24, (0 6 0)
2.193 Å, 41.16°, I = 27, (2 0 0)
2.170 Å, 41.61°, I = 100, (1 3 1)
1.564 Å, 59.05°, I = 16, (2 6 0)
1.277 Å, 74.30°, I = 12, (1 9 1)
1.262 Å, 75.32°, I = 18, (3 3 1)
1.242 Å, 76.75°, I = 9, (2 0 2)

Starting from a structure optimized by DFT (GGA-PBE), the powder X-ray diffraction pattern of V4Re2W5 was calculated for a wavelength of 1.5418 Å.
Kinematic intensities with the Lorentz-polarization factor, no thermal factor.

Atomic structure:
```
data_V4Re2W5
_chemical_formula_sum 'V4 Re2 W5'
_cell_length_a 2.6820
_cell_length_b 6.8192
_cell_length_c 9.2576
_cell_angle_alpha 92.22
_cell_angle_beta 95.31
_cell_angle_gamma 97.28
_symmetry_space_group_name_H-M 'P -1'
_symmetry_Int_Tables_number 2
loop_
_symmetry_equiv_pos_as_xyz
'x,y,z'
'-x,-y,-z'
loop_
_atom_site_label
_atom_site_fract_x
_atom_site_fract_y
_atom_site_fract_z
V1 0.0755 0.4105 0.2283
V2 0.1753 0.2265 0.6803
Re1 0.3383 0.8708 0.5936
W1 0.0000 0.5000 0.5000
W2 0.2278 0.0470 0.1392
W3 0.4054 0.6809 0.0473
```

Main lines, low angle first (15° ≤ 2θ ≤ 90°):
4.603 Å, 19.28°, I = 15, (0 0 2)
3.898 Å, 22.82°, I = 13, (0 1 -2)
3.120 Å, 28.61°, I = 9, (0 2 1)
2.214 Å, 40.75°, I = 100, (0 3 -1)
2.203 Å, 40.96°, I = 18, (1 0 2)
2.198 Å, 41.07°, I = 18, (1 1 -2)
2.192 Å, 41.17°, I = 18, (-1 2 1)
1.278 Å, 74.17°, I = 20, (0 4 -5)

Starting from a structure optimized by DFT (GGA-PBE), the powder X-ray diffraction pattern of V3ReW4 was calculated for a wavelength of 1.5418 Å.
Kinematic intensities with the Lorentz-polarization factor, no thermal factor.

Atomic structure:
```
data_V3ReW4
_chemical_formula_sum 'V6 Re2 W8'
_cell_length_a 8.7641
_cell_length_b 5.2651
_cell_length_c 5.2911
_cell_angle_alpha 90.00
_cell_angle_beta 90.00
_cell_angle_gamma 90.00
_symmetry_space_group_name_H-M 'P m n 21'
_symmetry_Int_Tables_number 31
loop_
_symmetry_equiv_pos_as_xyz
'x,y,z'
'-x+1/2,-y,z+1/2'
'-x,y,z'
'x+1/2,-y,z+1/2'
loop_
_atom_site_label
_atom_site_fract_x
_atom_site_fract_y
_atom_site_fract_z
V1 0.0000 0.2458 0.0000
V2 0.2497 0.1270 0.7556
Re1 0.0000 0.7525 0.0093
W1 0.0000 0.0012 0.5058
W2 0.0000 0.4978 0.5034
W3 0.2497 0.3681 0.2528
```

Main lines, low angle first (15° ≤ 2θ ≤ 90°):
3.732 Å, 23.84°, I = 17, (0 1 1)
2.841 Å, 31.49°, I = 20, (2 1 1)
2.357 Å, 38.18°, I = 21, (0 2 1)
2.276 Å, 39.60°, I = 64, (1 2 1)
2.265 Å, 39.80°, I = 100, (2 0 2)
2.191 Å, 41.20°, I = 45, (4 0 0)
2.076 Å, 43.60°, I = 29, (2 2 1)
1.835 Å, 49.70°, I = 35, (3 2 1)

Starting from a structure optimized by DFT (GGA-PBE), the powder X-ray diffraction pattern of V2Re2W3 was calculated for a wavelength of 1.5418 Å.
Kinematic intensities with the Lorentz-polarization factor, no thermal factor.

Atomic structure:
```
data_V2Re2W3
_chemical_formula_sum 'V4 Re4 W6'
_cell_length_a 9.8562
_cell_length_b 3.1077
_cell_length_c 6.9433
_cell_angle_alpha 90.00
_cell_angle_beta 97.97
_cell_angle_gamma 90.00
_symmetry_space_group_name_H-M 'C 1 2/m 1'
_symmetry_Int_Tables_number 12
loop_
_symmetry_equiv_pos_as_xyz
'x,y,z'
'-x,-y,-z'
'-x,y,-z'
'x,-y,z'
'x+1/2,y+1/2,z'
'-x+1/2,-y+1/2,-z'
'-x+1/2,y+1/2,-z'
'x+1/2,-y+1/2,z'
loop_
_atom_site_label
_atom_site_fract_x
_atom_site_fract_y
_atom_site_fract_z
V1 0.1441 0.0000 0.4319
Re1 0.0693 0.5000 0.7055
W1 0.0000 0.0000 0.0000
W2 0.2153 0.5000 0.1485
```

Main lines, low angle first (15° ≤ 2θ ≤ 90°):
2.205 Å, 40.92°, I = 20, (4 0 1)
2.198 Å, 41.06°, I = 100, (3 1 -1)
1.556 Å, 59.41°, I = 13, (6 0 -2)
1.554 Å, 59.49°, I = 7, (0 2 0)
1.272 Å, 74.61°, I = 14, (7 1 0)
1.270 Å, 74.73°, I = 7, (4 2 1)
1.268 Å, 74.88°, I = 20, (2 2 -3)
1.099 Å, 89.05°, I = 9, (6 2 -2)

Starting from a structure optimized by DFT (GGA-PBE), the powder X-ray diffraction pattern of V7Re3W was calculated for a wavelength of 1.5418 Å.
Kinematic intensities with the Lorentz-polarization factor, no thermal factor.

Atomic structure:
```
data_V7Re3W
_chemical_formula_sum 'V28 Re12 W4'
_cell_length_a 2.5324
_cell_length_b 18.3396
_cell_length_c 14.3308
_cell_angle_alpha 90.00
_cell_angle_beta 90.00
_cell_angle_gamma 90.00
_symmetry_space_group_name_H-M 'C m c m'
_symmetry_Int_Tables_number 63
_symmetry_space_group_name_Hall '-C 2c 2'
loop_
_atom_site_label
_atom_site_fract_x
_atom_site_fract_y
_atom_site_fract_z
V1 0.0000 0.0045 0.0848
V2 0.0000 0.1208 0.6550
V3 0.0000 0.1346 0.2500
V4 0.0000 0.2509 0.5846
Re1 0.0000 0.2681 0.2500
Re2 0.0000 0.3755 0.5154
W1 0.0000 0.4987 0.7500
```

Main lines, low angle first (15° ≤ 2θ ≤ 90°):
3.862 Å, 23.03°, I = 100, (0 4 2)
3.583 Å, 24.85°, I = 51, (0 0 4)
2.292 Å, 39.30°, I = 47, (0 8 0)
2.223 Å, 40.59°, I = 69, (1 3 2)
2.118 Å, 42.68°, I = 60, (0 4 6)
2.055 Å, 44.07°, I = 36, (1 1 4)
2.001 Å, 45.32°, I = 53, (1 5 2)
1.451 Å, 64.16°, I = 21, (1 9 4)

Starting from a structure optimized by DFT (GGA-PBE), the powder X-ray diffraction pattern of V3Re3W2 was calculated for a wavelength of 1.5418 Å.
Kinematic intensities with the Lorentz-polarization factor, no thermal factor.

Atomic structure:
```
data_V3Re3W2
_chemical_formula_sum 'V12 Re12 W8'
_cell_length_a 4.2553
_cell_length_b 9.1148
_cell_length_c 12.8311
_cell_angle_alpha 90.00
_cell_angle_beta 90.00
_cell_angle_gamma 90.00
_symmetry_space_group_name_H-M 'C m c m'
_symmetry_Int_Tables_number 63
_symmetry_space_group_name_Hall '-C 2c 2'
loop_
_atom_site_label
_atom_site_fract_x
_atom_site_fract_y
_atom_site_fract_z
V1 0.0000 0.0147 0.2500
V2 0.0000 0.1357 0.5284
Re1 0.0000 0.2583 0.7500
Re2 0.0000 0.4175 0.5842
W1 0.0000 0.3090 0.1399
```

Main lines, low angle first (15° ≤ 2θ ≤ 90°):
3.856 Å, 23.07°, I = 31, (1 1 0)
3.715 Å, 23.95°, I = 17, (0 2 2)
2.466 Å, 36.43°, I = 24, (1 1 4)
2.244 Å, 40.19°, I = 12, (0 4 1)
2.139 Å, 42.26°, I = 100, (1 3 3)
2.128 Å, 42.49°, I = 31, (2 0 0)
2.011 Å, 45.08°, I = 13, (0 4 3)
1.230 Å, 77.59°, I = 17, (3 3 3)

Starting from a structure optimized by DFT (GGA-PBE), the powder X-ray diffraction pattern of Zr3V8Re was calculated for a wavelength of 1.5418 Å.
Kinematic intensities with the Lorentz-polarization factor, no thermal factor.

Atomic structure:
```
data_Zr3V8Re
_chemical_formula_sum 'Zr9 V24 Re3'
_cell_length_a 5.0815
_cell_length_b 5.0815
_cell_length_c 25.4992
_cell_angle_alpha 90.00
_cell_angle_beta 90.00
_cell_angle_gamma 120.00
_symmetry_space_group_name_H-M 'R 3 m'
_symmetry_Int_Tables_number 160
_symmetry_space_group_name_Hall 'R 3 -2"'
loop_
_atom_site_label
_atom_site_fract_x
_atom_site_fract_y
_atom_site_fract_z
Zr1 0.0000 0.0000 0.0000
Zr2 0.0000 0.0000 0.1269
Zr3 0.0000 0.0000 0.6227
V1 0.0000 0.0000 0.3102
V2 0.0000 0.0000 0.8137
V3 0.0029 0.5015 0.0659
V4 0.1679 0.3358 0.8927
Re1 0.0000 0.0000 0.5003
```

Main lines, low angle first (15° ≤ 2θ ≤ 90°):
2.581 Å, 34.75°, I = 63, (0 1 8)
2.541 Å, 35.33°, I = 61, (1 1 0)
2.206 Å, 40.90°, I = 53, (1 0 10)
2.181 Å, 41.40°, I = 100, (1 1 6)
2.168 Å, 41.65°, I = 50, (2 0 2)
2.080 Å, 43.51°, I = 26, (0 2 4)
1.393 Å, 67.20°, I = 23, (2 1 10)
1.387 Å, 67.55°, I = 22, (3 0 6)

Copy entry 10 word for word.
Starting from a structure optimized by DFT (GGA-PBE), the powder X-ray diffraction pattern of V7Re3W was calculated for a wavelength of 1.5418 Å.
Kinematic intensities with the Lorentz-polarization factor, no thermal factor.

Atomic structure:
```
data_V7Re3W
_chemical_formula_sum 'V28 Re12 W4'
_cell_length_a 2.5324
_cell_length_b 18.3396
_cell_length_c 14.3308
_cell_angle_alpha 90.00
_cell_angle_beta 90.00
_cell_angle_gamma 90.00
_symmetry_space_group_name_H-M 'C m c m'
_symmetry_Int_Tables_number 63
_symmetry_space_group_name_Hall '-C 2c 2'
loop_
_atom_site_label
_atom_site_fract_x
_atom_site_fract_y
_atom_site_fract_z
V1 0.0000 0.0045 0.0848
V2 0.0000 0.1208 0.6550
V3 0.0000 0.1346 0.2500
V4 0.0000 0.2509 0.5846
Re1 0.0000 0.2681 0.2500
Re2 0.0000 0.3755 0.5154
W1 0.0000 0.4987 0.7500
```

Main lines, low angle first (15° ≤ 2θ ≤ 90°):
3.862 Å, 23.03°, I = 100, (0 4 2)
3.583 Å, 24.85°, I = 51, (0 0 4)
2.292 Å, 39.30°, I = 47, (0 8 0)
2.223 Å, 40.59°, I = 69, (1 3 2)
2.118 Å, 42.68°, I = 60, (0 4 6)
2.055 Å, 44.07°, I = 36, (1 1 4)
2.001 Å, 45.32°, I = 53, (1 5 2)
1.451 Å, 64.16°, I = 21, (1 9 4)